Structure and theoretical X-ray diffraction stick pattern of Sc4Ge6Ru7 (the GGA-PBE geometry in the Materials Project; copper Kα).

Peak list (10 most intense, 10 to 90 degrees two-theta, low angle first)
(2 0 0), 21.78°, I 31
(2 2 2), 38.20°, I 100
(3 2 1), 41.39°, I 35
(4 0 0), 44.39°, I 68
(3 3 0), 47.25°, I 14
(3 3 2), 52.59°, I 24
(4 4 0), 64.59°, I 33
(6 2 2), 77.59°, I 22
(6 3 1), 79.67°, I 15
(6 3 3), 87.90°, I 14

Lattice parameters (Å, degrees): 8.1623 8.1623 8.1623 90.00 90.00 90.00
Space group Im-3m (No. 229)
Asymmetric unit:
1 Sc 0.2500 0.2500 0.2500
2 Ge 0.0000 0.0000 0.3091
3 Ru 0.0000 0.0000 0.0000
4 Ru 0.0000 0.2500 0.5000